1.
Starting from a DFT-relaxed cell (PBE, Alexandria), the X-ray diffraction stick pattern of Rb3Nb20O34 was calculated for Cu Kα X-rays.

Structural model:
```
data_Rb3Nb20O34
_space_group_name_H-M_alt 'P 1 m 1'
_space_group_IT_number 6
_cell_length_a 10.529
_cell_length_b 6.079
_cell_length_c 13.593
_cell_angle_alpha 90.00
_cell_angle_beta 104.80
_cell_angle_gamma 90.00
loop_
_space_group_symop_operation_xyz
'x,y,z'
'x,-y,z'
loop_
_atom_site_label
_atom_site_fract_x
_atom_site_fract_y
_atom_site_fract_z
Rb1 0.000 0.000 0.000
Rb2 0.230 0.500 0.128
Rb3 0.696 0.000 0.126
Nb1 0.040 0.000 0.658
Nb2 0.103 0.000 0.302
Nb3 0.115 0.500 0.836
Nb4 0.178 0.500 0.482
Nb5 0.302 0.000 0.898
Nb6 0.312 0.272 0.657
Nb7 0.406 0.273 0.483
Nb8 0.414 0.000 0.245
Nb9 0.539 0.500 0.658
Nb10 0.604 0.500 0.301
Nb11 0.612 0.000 0.837
Nb12 0.678 0.000 0.483
Nb13 0.797 0.500 0.897
Nb14 0.812 0.228 0.658
Nb15 0.906 0.228 0.482
Nb16 0.921 0.500 0.243
O1 0.004 0.256 0.755
O2 0.109 0.250 0.570
O3 0.214 0.246 0.385
O4 0.223 0.252 0.938
O5 0.229 0.000 0.196
O6 0.248 0.500 0.754
O7 0.253 0.000 0.752
O8 0.358 0.000 0.570
O9 0.465 0.000 0.391
O10 0.468 0.500 0.386
O11 0.486 0.000 0.937
O12 0.488 0.255 0.206
O13 0.506 0.242 0.754
O14 0.609 0.250 0.570
O15 0.713 0.254 0.386
O16 0.732 0.237 0.939
O17 0.737 0.500 0.206
O18 0.750 0.000 0.755
O19 0.751 0.500 0.752
O20 0.859 0.500 0.570
O21 0.967 0.000 0.385
O22 0.967 0.500 0.389
O23 0.982 0.500 0.938
O24 0.990 0.243 0.198
```

Most intense lines, 2θ = 10–90°, in order of falling intensity:
two_theta	d (Å)	Rel. int.	hkl
28.28	3.156	100	1 1 3
37.72	2.385	57	2 2 -3
30.18	2.961	54	3 1 -2
20.28	4.378	47	1 1 -2
60.97	1.520	38	0 4 0
51.41	1.777	29	1 3 3



2.
Starting from a DFT-relaxed cell (PBE, Alexandria), the X-ray diffraction stick pattern of Rb3NbO6 was calculated for Cu Kα X-rays.

Structural model:
```
data_Rb3NbO6
_space_group_name_H-M_alt 'P 63/m m c'
_space_group_IT_number 194
_space_group_name_Hall '-P 6c 2c'
_cell_length_a 6.8906
_cell_length_b 6.8906
_cell_length_c 10.8809
_cell_angle_alpha 90.00
_cell_angle_beta 90.00
_cell_angle_gamma 120.00
loop_
_atom_site_label
_atom_site_fract_x
_atom_site_fract_y
_atom_site_fract_z
Rb1 0.0000 0.0000 0.0000
Rb2 0.3333 0.6667 0.0800
Nb1 0.3333 0.6667 0.7500
O1 0.1978 0.3956 0.6438
```

Most intense lines, 2θ = 10–90°, in order of falling intensity:
two_theta	d (Å)	Rel. int.	hkl
25.86	3.445	100	1 1 0
28.81	3.099	63	1 0 3
39.09	2.304	41	2 0 3
47.47	1.915	36	2 1 3
22.11	4.020	21	1 0 2
53.17	1.723	20	2 2 0



3.
Starting from a DFT-relaxed cell (PBE, Alexandria), the X-ray diffraction stick pattern of RbNbO was calculated for Cu Kα X-rays.

Structural model:
```
data_RbNbO
_space_group_name_H-M_alt 'A m m 2'
_space_group_IT_number 38
_cell_length_a 14.036
_cell_length_b 3.146
_cell_length_c 5.426
_cell_angle_alpha 90.00
_cell_angle_beta 90.00
_cell_angle_gamma 90.00
loop_
_space_group_symop_operation_xyz
'x,y,z'
'-x,-y,z'
'-x,y,z'
'x,-y,z'
'x,y+1/2,z+1/2'
'-x,-y+1/2,z+1/2'
'-x,y+1/2,z+1/2'
'x,-y+1/2,z+1/2'
loop_
_atom_site_label
_atom_site_fract_x
_atom_site_fract_y
_atom_site_fract_z
Rb1 0.131 0.000 0.000
Nb1 0.397 0.000 0.469
O1 0.000 0.000 0.664
O2 0.500 0.000 0.805
```

Most intense lines, 2θ = 10–90°, in order of falling intensity:
two_theta	d (Å)	Rel. int.	hkl
33.54	2.672	100	1 1 1
25.38	3.509	71	4 0 0
46.48	1.954	57	5 1 1
38.26	2.352	52	3 1 1
42.09	2.147	51	4 0 2
33.02	2.713	45	0 0 2



4.
Starting from a DFT-relaxed cell (PBE, Alexandria), the X-ray diffraction stick pattern of RbNbRhO6 was calculated for Cu Kα X-rays.

Structural model:
```
data_RbNbRhO6
_space_group_name_H-M_alt 'P 3'
_space_group_IT_number 143
_cell_length_a 5.3406
_cell_length_b 5.3406
_cell_length_c 6.3608
_cell_angle_alpha 90.00
_cell_angle_beta 90.00
_cell_angle_gamma 120.00
loop_
_space_group_symop_operation_xyz
'x,y,z'
'-y,x-y,z'
'-x+y,-x,z'
loop_
_atom_site_label
_atom_site_fract_x
_atom_site_fract_y
_atom_site_fract_z
Rb1 0.0000 0.0000 0.0000
Nb1 0.6667 0.3333 0.5340
Rh1 0.3333 0.6667 0.4745
O1 0.0033 0.6080 0.3193
O2 0.0123 0.3848 0.6684
```

Most intense lines, 2θ = 10–90°, in order of falling intensity:
two_theta	d (Å)	Rel. int.	hkl
23.79	3.741	100	0 1 1
44.29	2.045	44	2 -1 2
13.92	6.361	40	0 0 1
33.56	2.670	31	1 1 0
54.43	1.686	19	3 -2 1
41.55	2.173	17	2 0 1